GaCu15: simulated powder diffraction line list (Cu Kα (weighted mean of Kα1 and Kα2)), based on a crystal structure in OQMD, relaxed with GGA-PBE.
Intensities are scaled so that the largest is 100.

Largest 10 diffraction maxima, sorted by position, 2θ from 15° to 90°:
| 2θ/deg | d_spacing | intensity | h k l |
| --- | --- | --- | --- |
| 39.27 | 2.294 | 4 | 1 1 8 |
| 42.57 | 2.124 | 68 | 1 1 11 |
| 43.85 | 2.065 | 100 | 1 1 12 |
| 49.51 | 1.841 | 19 | 0 0 23 |
| 50.72 | 1.800 | 51 | 2 0 0 |
| 51.82 | 1.764 | 8 | 0 0 24 |
| 73.58 | 1.287 | 21 | 2 0 23 |
| 74.55 | 1.273 | 15 | 2 2 0 |
| 75.44 | 1.260 | 9 | 2 0 24 |
| 89.78 | 1.092 | 27 | 1 1 35 |

Lattice parameters (Å, degrees): 3.601 3.601 42.345 90.00 90.00 90.00
Fractional coordinates of all 32 atoms:
Ga (0.250, 0.000, 0.175)
Ga (0.750, 0.000, 0.825)
Cu (0.250, 0.000, 0.264)
Cu (0.250, 0.000, 0.350)
Cu (0.250, 0.000, 0.436)
Cu (0.250, 0.000, 0.521)
Cu (0.250, 0.000, 0.607)
Cu (0.250, 0.000, 0.693)
Cu (0.250, 0.000, 0.779)
Cu (0.250, 0.500, 0.221)
Cu (0.250, 0.500, 0.307)
Cu (0.250, 0.500, 0.393)
Cu (0.250, 0.500, 0.479)
Cu (0.250, 0.500, 0.564)
Cu (0.250, 0.500, 0.650)
Cu (0.250, 0.500, 0.736)
Cu (0.250, 0.500, 0.823)
Cu (0.750, 0.000, 0.221)
Cu (0.750, 0.000, 0.307)
Cu (0.750, 0.000, 0.393)
Cu (0.750, 0.000, 0.479)
Cu (0.750, 0.000, 0.564)
Cu (0.750, 0.000, 0.650)
Cu (0.750, 0.000, 0.736)
Cu (0.750, 0.500, 0.177)
Cu (0.750, 0.500, 0.264)
Cu (0.750, 0.500, 0.350)
Cu (0.750, 0.500, 0.436)
Cu (0.750, 0.500, 0.521)
Cu (0.750, 0.500, 0.607)
Cu (0.750, 0.500, 0.693)
Cu (0.750, 0.500, 0.779)

---

GaCu15: simulated powder diffraction line list (Cu Kα (weighted mean of Kα1 and Kα2)), based on a crystal structure in OQMD, relaxed with GGA-PBE.
Intensities are scaled so that the largest is 100.

Largest 10 diffraction maxima, sorted by position, 2θ from 15° to 90°:
| 2θ/deg | d_spacing | intensity | h k l |
| --- | --- | --- | --- |
| 42.55 | 2.125 | 61 | 2 0 13 |
| 43.40 | 2.085 | 100 | 2 1 0 |
| 44.82 | 2.022 | 36 | 2 0 14 |
| 49.64 | 1.837 | 39 | 0 1 13 |
| 50.81 | 1.797 | 31 | 4 0 0 |
| 51.67 | 1.769 | 23 | 0 1 14 |
| 73.75 | 1.285 | 21 | 4 1 13 |
| 74.02 | 1.281 | 9 | 0 2 0 |
| 87.61 | 1.114 | 8 | 2 1 26 |
| 89.29 | 1.097 | 12 | 2 2 13 |

Lattice parameters (Å, degrees): 7.191 2.562 34.242 90.00 90.02 90.00
Fractional coordinates of all 32 atoms:
Ga (0.125, 0.250, 0.283)
Ga (0.875, 0.750, 0.717)
Cu (0.125, 0.250, 0.056)
Cu (0.125, 0.250, 0.131)
Cu (0.125, 0.250, 0.205)
Cu (0.125, 0.250, 0.832)
Cu (0.125, 0.250, 0.907)
Cu (0.125, 0.250, 0.981)
Cu (0.128, 0.250, 0.756)
Cu (0.375, 0.750, 0.019)
Cu (0.375, 0.750, 0.094)
Cu (0.375, 0.750, 0.168)
Cu (0.375, 0.750, 0.721)
Cu (0.375, 0.750, 0.795)
Cu (0.375, 0.750, 0.869)
Cu (0.375, 0.750, 0.944)
Cu (0.378, 0.750, 0.244)
Cu (0.622, 0.250, 0.756)
Cu (0.625, 0.250, 0.056)
Cu (0.625, 0.250, 0.131)
Cu (0.625, 0.250, 0.205)
Cu (0.625, 0.250, 0.279)
Cu (0.625, 0.250, 0.832)
Cu (0.625, 0.250, 0.906)
Cu (0.625, 0.250, 0.981)
Cu (0.872, 0.750, 0.244)
Cu (0.875, 0.750, 0.019)
Cu (0.875, 0.750, 0.093)
Cu (0.875, 0.750, 0.168)
Cu (0.875, 0.750, 0.795)
Cu (0.875, 0.750, 0.869)
Cu (0.875, 0.750, 0.944)